# 1
This entry pairs a crystal structure of BaNa2Sr6Al6O2F32 with its computed powder XRD pattern. Radiation: Cu Kα (weighted mean of Kα1 and Kα2). Structure: the GGA-PBE geometry in the Materials Project.
Neutral-atom scattering factors, no anomalous dispersion.

Structural model:
```
data_BaNa2Sr6Al6O2F32
_chemical_formula_sum 'Ba1 Na2 Sr6 Al6 O2 F32'
_cell_length_a 9.9297
_cell_length_b 9.9297
_cell_length_c 7.3480
_cell_angle_alpha 99.49
_cell_angle_beta 99.49
_cell_angle_gamma 68.38
_space_group_name_H-M_alt 'P 1'
_space_group_IT_number 1
loop_
_space_group_symop_operation_xyz
'x,y,z'
loop_
_atom_site_label
_atom_site_type_symbol
_atom_site_fract_x
_atom_site_fract_y
_atom_site_fract_z
Ba1 Ba 0.0000 0.0000 0.0000
Na1 Na 0.7618 0.7618 0.1341
Na2 Na 0.7622 0.7622 0.6316
Sr1 Sr 0.1130 0.7086 0.4372
Sr2 Sr 0.2627 0.2627 0.1339
Sr3 Sr 0.4137 0.8145 0.8284
Sr4 Sr 0.5220 0.5220 0.2468
Sr5 Sr 0.7086 0.1130 0.4372
Sr6 Sr 0.8145 0.4137 0.8284
Al1 Al 0.0980 0.0980 0.5883
Al2 Al 0.1293 0.6111 0.9297
Al3 Al 0.3991 0.9087 0.3362
Al4 Al 0.4274 0.4274 0.6745
Al5 Al 0.6111 0.1293 0.9297
Al6 Al 0.9087 0.3991 0.3362
O1 O 0.6770 0.6770 0.8504
O2 O 0.8484 0.8484 0.4165
F1 F 0.0009 0.2736 0.1409
F2 F 0.0067 0.7090 0.7428
F3 F 0.0124 0.7398 0.1007
F4 F 0.0212 0.0212 0.3741
F5 F 0.0348 0.4924 0.3442
F6 F 0.0377 0.4839 0.9227
F7 F 0.0408 0.2767 0.5035
F8 F 0.1525 0.9195 0.6763
F9 F 0.1650 0.1650 0.8157
F10 F 0.2280 0.7345 0.9415
F11 F 0.2488 0.4823 0.7590
F12 F 0.2602 0.5210 0.1249
F13 F 0.2736 0.0009 0.1409
F14 F 0.2767 0.0408 0.5035
F15 F 0.3015 0.7838 0.3213
F16 F 0.3587 0.3587 0.4493
F17 F 0.3752 0.6041 0.5860
F18 F 0.4823 0.2488 0.7590
F19 F 0.4839 0.0377 0.9227
F20 F 0.4924 0.0348 0.3442
F21 F 0.5025 0.5025 0.8948
F22 F 0.5153 0.7739 0.1672
F23 F 0.5193 0.8145 0.5259
F24 F 0.5210 0.2602 0.1249
F25 F 0.6041 0.3752 0.5860
F26 F 0.7090 0.0067 0.7428
F27 F 0.7345 0.2280 0.9415
F28 F 0.7398 0.0124 0.1007
F29 F 0.7739 0.5153 0.1672
F30 F 0.7838 0.3015 0.3213
F31 F 0.8145 0.5193 0.5259
F32 F 0.9195 0.1525 0.6763
```

Peak list (6 most intense, 10° ≤ 2θ ≤ 80°, sorted by position)
d = 8.049 Å, I 50; d = 3.717 Å, I 45; d = 3.489 Å, I 45; d = 3.264 Å, I 83; d = 3.175 Å, I 100; d = 3.025 Å, I 61


# 2
This entry pairs a crystal structure of Ba2Na2SrAl4F20 with its computed powder XRD pattern. Radiation: Cu Kα (weighted mean of Kα1 and Kα2). Structure: the GGA-PBE geometry in the Materials Project.
Neutral-atom scattering factors, no anomalous dispersion.

Structural model:
```
data_Ba2Na2SrAl4F20
_chemical_formula_sum 'Ba4 Na4 Sr2 Al8 F40'
_cell_length_a 5.3797
_cell_length_b 20.4008
_cell_length_c 8.9353
_cell_angle_alpha 90.00
_cell_angle_beta 126.57
_cell_angle_gamma 90.00
_space_group_name_H-M_alt 'P 1'
_space_group_IT_number 1
loop_
_space_group_symop_operation_xyz
'x,y,z'
loop_
_atom_site_label
_atom_site_type_symbol
_atom_site_fract_x
_atom_site_fract_y
_atom_site_fract_z
Ba1 Ba 0.0310 0.2224 0.0143
Ba2 Ba 0.0310 0.2776 0.5143
Ba3 Ba 0.9690 0.7224 0.4857
Ba4 Ba 0.9690 0.7776 0.9857
Na1 Na 0.2571 0.0934 0.7528
Na2 Na 0.2571 0.4066 0.2528
Na3 Na 0.7429 0.5934 0.7472
Na4 Na 0.7429 0.9066 0.2472
Sr1 Sr 0.0000 0.0000 0.0000
Sr2 Sr 0.0000 0.5000 0.5000
Al1 Al 0.2805 0.5994 0.2741
Al2 Al 0.2805 0.9006 0.7741
Al3 Al 0.4642 0.6359 0.9556
Al4 Al 0.4642 0.8641 0.4556
Al5 Al 0.5358 0.1359 0.5444
Al6 Al 0.5358 0.3641 0.0444
Al7 Al 0.7195 0.0994 0.2259
Al8 Al 0.7195 0.4006 0.7259
F1 F 0.0856 0.6760 0.8267
F2 F 0.0856 0.8240 0.3267
F3 F 0.1413 0.0974 0.4217
F4 F 0.1413 0.4026 0.9217
F5 F 0.1955 0.6045 0.4439
F6 F 0.1955 0.8955 0.9439
F7 F 0.2864 0.6876 0.2637
F8 F 0.2864 0.8124 0.7637
F9 F 0.2911 0.5121 0.2948
F10 F 0.2911 0.9879 0.7948
F11 F 0.3021 0.1009 0.0350
F12 F 0.3021 0.3991 0.5350
F13 F 0.3062 0.5667 0.7981
F14 F 0.3062 0.9333 0.2981
F15 F 0.3630 0.2051 0.3864
F16 F 0.3630 0.2949 0.8864
F17 F 0.3789 0.5938 0.1051
F18 F 0.3789 0.9062 0.6051
F19 F 0.4622 0.1780 0.6962
F20 F 0.4622 0.3220 0.1962
F21 F 0.5378 0.6780 0.8038
F22 F 0.5378 0.8220 0.3038
F23 F 0.6211 0.0938 0.3949
F24 F 0.6211 0.4062 0.8949
F25 F 0.6370 0.7051 0.1136
F26 F 0.6370 0.7949 0.6136
F27 F 0.6938 0.0667 0.7019
F28 F 0.6938 0.4333 0.2019
F29 F 0.6979 0.6009 0.4650
F30 F 0.6979 0.8991 0.9650
F31 F 0.7089 0.0121 0.2052
F32 F 0.7089 0.4879 0.7052
F33 F 0.7136 0.1876 0.2363
F34 F 0.7136 0.3124 0.7363
F35 F 0.8045 0.1045 0.0561
F36 F 0.8045 0.3955 0.5561
F37 F 0.8587 0.5974 0.0783
F38 F 0.8587 0.9026 0.5783
F39 F 0.9144 0.1760 0.6733
F40 F 0.9144 0.3240 0.1733
```

Peak list (6 most intense, 10° ≤ 2θ ≤ 80°, sorted by position)
d = 3.545 Å, I 83; d = 3.297 Å, I 100; d = 3.282 Å, I 98; d = 3.251 Å, I 94; d = 2.939 Å, I 78; d = 2.379 Å, I 57


# 3
This entry pairs a crystal structure of BaAlPO5F with its computed powder XRD pattern. Radiation: Cu Kα (weighted mean of Kα1 and Kα2). Structure: the GGA-PBE geometry in the Materials Project.
Neutral-atom scattering factors, no anomalous dispersion.

Structural model:
```
data_BaAlPO5F
_chemical_formula_sum 'Ba4 Al4 P4 O20 F4'
_cell_length_a 5.2049
_cell_length_b 12.9050
_cell_length_c 7.8805
_cell_angle_alpha 90.00
_cell_angle_beta 118.79
_cell_angle_gamma 90.00
_space_group_name_H-M_alt 'P 1'
_space_group_IT_number 1
loop_
_space_group_symop_operation_xyz
'x,y,z'
loop_
_atom_site_label
_atom_site_type_symbol
_atom_site_fract_x
_atom_site_fract_y
_atom_site_fract_z
Ba1 Ba 0.1370 0.2015 0.1865
Ba2 Ba 0.1370 0.2985 0.6865
Ba3 Ba 0.8630 0.7015 0.3135
Ba4 Ba 0.8630 0.7985 0.8135
Al1 Al 0.0000 0.0000 0.5000
Al2 Al 0.0000 0.5000 0.0000
Al3 Al 0.5000 0.0000 0.0000
Al4 Al 0.5000 0.5000 0.5000
P1 P 0.3722 0.6104 0.8041
P2 P 0.3722 0.8896 0.3041
P3 P 0.6278 0.1104 0.6959
P4 P 0.6278 0.3896 0.1959
O1 O 0.1838 0.5434 0.2599
O2 O 0.1838 0.9566 0.7599
O3 O 0.2180 0.5877 0.9277
O4 O 0.2180 0.9123 0.4277
O5 O 0.2730 0.7173 0.7104
O6 O 0.2730 0.7827 0.2104
O7 O 0.2887 0.1128 0.5550
O8 O 0.2887 0.3872 0.0550
O9 O 0.2979 0.5252 0.6475
O10 O 0.2979 0.9748 0.1475
O11 O 0.7021 0.0252 0.8525
O12 O 0.7021 0.4748 0.3525
O13 O 0.7113 0.6128 0.9450
O14 O 0.7113 0.8872 0.4450
O15 O 0.7270 0.2173 0.7896
O16 O 0.7270 0.2827 0.2896
O17 O 0.7820 0.0877 0.5723
O18 O 0.7820 0.4123 0.0723
O19 O 0.8162 0.0434 0.2401
O20 O 0.8162 0.4566 0.7401
F1 F 0.3577 0.1328 0.9608
F2 F 0.3577 0.3672 0.4608
F3 F 0.6423 0.6328 0.5392
F4 F 0.6423 0.8672 0.0392
```

Peak list (6 most intense, 10° ≤ 2θ ≤ 80°, sorted by position)
d = 4.301 Å, I 49; d = 3.336 Å, I 54; d = 3.288 Å, I 100; d = 2.923 Å, I 48; d = 2.844 Å, I 45; d = 2.244 Å, I 61


# 4
This entry pairs a crystal structure of Ba4TiAl3P4O20F4 with its computed powder XRD pattern. Radiation: Cu Kα (weighted mean of Kα1 and Kα2). Structure: the GGA-PBE geometry in the Materials Project.
Neutral-atom scattering factors, no anomalous dispersion.

Structural model:
```
data_Ba4TiAl3P4O20F4
_chemical_formula_sum 'Ba4 Ti1 Al3 P4 O20 F4'
_cell_length_a 5.2639
_cell_length_b 7.0659
_cell_length_c 12.8999
_cell_angle_alpha 90.25
_cell_angle_beta 90.23
_cell_angle_gamma 101.99
_space_group_name_H-M_alt 'P 1'
_space_group_IT_number 1
loop_
_space_group_symop_operation_xyz
'x,y,z'
loop_
_atom_site_label
_atom_site_type_symbol
_atom_site_fract_x
_atom_site_fract_y
_atom_site_fract_z
Ba1 Ba 0.0475 0.1863 0.3028
Ba2 Ba 0.4504 0.3139 0.8047
Ba3 Ba 0.5496 0.6861 0.1953
Ba4 Ba 0.9525 0.8137 0.6972
Ti1 Ti 0.5000 0.5000 0.5000
Al1 Al 0.0000 0.0000 0.0000
Al2 Al 0.0000 0.5000 0.0000
Al3 Al 0.5000 0.0000 0.5000
P1 P 0.0712 0.7005 0.3849
P2 P 0.4302 0.8043 0.8898
P3 P 0.5698 0.1957 0.1102
P4 P 0.9288 0.2995 0.6151
O1 O 0.0683 0.7957 0.2788
O2 O 0.0713 0.2587 0.9567
O3 O 0.1499 0.8538 0.4720
O4 O 0.1981 0.4335 0.5949
O5 O 0.2354 0.9448 0.8878
O6 O 0.2672 0.5591 0.3826
O7 O 0.2924 0.0732 0.0879
O8 O 0.3483 0.6481 0.9751
O9 O 0.4312 0.2380 0.4556
O10 O 0.4321 0.7084 0.7826
O11 O 0.5679 0.2916 0.2174
O12 O 0.5688 0.7620 0.5444
O13 O 0.6517 0.3519 0.0249
O14 O 0.7076 0.9268 0.9121
O15 O 0.7328 0.4409 0.6174
O16 O 0.7646 0.0552 0.1122
O17 O 0.8019 0.5665 0.4051
O18 O 0.8501 0.1462 0.5280
O19 O 0.9287 0.7413 0.0433
O20 O 0.9317 0.2043 0.7212
F1 F 0.1055 0.4572 0.1314
F2 F 0.3931 0.0483 0.6320
F3 F 0.6069 0.9517 0.3680
F4 F 0.8945 0.5428 0.8686
```

Peak list (6 most intense, 10° ≤ 2θ ≤ 80°, sorted by position)
d = 4.345 Å, I 80; d = 3.338 Å, I 85; d = 3.309 Å, I 100; d = 3.292 Å, I 100; d = 2.862 Å, I 84; d = 2.270 Å, I 85


# 5
This entry pairs a crystal structure of Ba3Sr9Al4O16F4 with its computed powder XRD pattern. Radiation: Cu Kα (weighted mean of Kα1 and Kα2). Structure: the GGA-PBE geometry in the Materials Project.
Neutral-atom scattering factors, no anomalous dispersion.

Structural model:
```
data_Ba3Sr9Al4O16F4
_chemical_formula_sum 'Ba3 Sr9 Al4 O16 F4'
_cell_length_a 6.9523
_cell_length_b 6.9523
_cell_length_c 11.2905
_cell_angle_alpha 90.00
_cell_angle_beta 90.00
_cell_angle_gamma 90.00
_space_group_name_H-M_alt 'P 1'
_space_group_IT_number 1
loop_
_space_group_symop_operation_xyz
'x,y,z'
loop_
_atom_site_label
_atom_site_type_symbol
_atom_site_fract_x
_atom_site_fract_y
_atom_site_fract_z
Ba1 Ba 0.0000 0.0000 0.0000
Ba2 Ba 0.0000 0.0000 0.5000
Ba3 Ba 0.5000 0.5000 0.0000
Sr1 Sr 0.1702 0.3310 0.2505
Sr2 Sr 0.1702 0.6690 0.7495
Sr3 Sr 0.3310 0.1702 0.7495
Sr4 Sr 0.3310 0.8298 0.2505
Sr5 Sr 0.5000 0.5000 0.5000
Sr6 Sr 0.6690 0.1702 0.2505
Sr7 Sr 0.6690 0.8298 0.7495
Sr8 Sr 0.8298 0.3310 0.7495
Sr9 Sr 0.8298 0.6690 0.2505
Al1 Al 0.0000 0.5000 0.0000
Al2 Al 0.0000 0.5000 0.5000
Al3 Al 0.5000 0.0000 0.0000
Al4 Al 0.5000 0.0000 0.5000
O1 O 0.1383 0.3620 0.8963
O2 O 0.1383 0.6380 0.1037
O3 O 0.1413 0.3635 0.6029
O4 O 0.1413 0.6365 0.3971
O5 O 0.3620 0.1383 0.1037
O6 O 0.3620 0.8617 0.8963
O7 O 0.3635 0.1413 0.3971
O8 O 0.3635 0.8587 0.6029
O9 O 0.6365 0.1413 0.6029
O10 O 0.6365 0.8587 0.3971
O11 O 0.6380 0.1383 0.8963
O12 O 0.6380 0.8617 0.1037
O13 O 0.8587 0.3635 0.3971
O14 O 0.8587 0.6365 0.6029
O15 O 0.8617 0.3620 0.1037
O16 O 0.8617 0.6380 0.8963
F1 F 0.0000 0.0000 0.2503
F2 F 0.0000 0.0000 0.7497
F3 F 0.5000 0.5000 0.2533
F4 F 0.5000 0.5000 0.7467
```

Peak list (6 most intense, 10° ≤ 2θ ≤ 80°, sorted by position)
d = 3.707 Å, I 41; d = 2.998 Å, I 44; d = 2.960 Å, I 100; d = 2.823 Å, I 38; d = 2.397 Å, I 73; d = 2.199 Å, I 49


# 6
This entry pairs a crystal structure of Ba2AlSn2F11 with its computed powder XRD pattern. Radiation: Cu Kα (weighted mean of Kα1 and Kα2). Structure: the GGA-PBE geometry in the Materials Project.
Neutral-atom scattering factors, no anomalous dispersion.

Structural model:
```
data_Ba2AlSn2F11
_chemical_formula_sum 'Ba6 Al3 Sn6 F33'
_cell_length_a 7.8275
_cell_length_b 7.8275
_cell_length_c 15.5002
_cell_angle_alpha 90.00
_cell_angle_beta 90.00
_cell_angle_gamma 120.00
_space_group_name_H-M_alt 'P 1'
_space_group_IT_number 1
loop_
_space_group_symop_operation_xyz
'x,y,z'
loop_
_atom_site_label
_atom_site_type_symbol
_atom_site_fract_x
_atom_site_fract_y
_atom_site_fract_z
Ba1 Ba 0.0404 0.1883 0.0000
Ba2 Ba 0.1478 0.9596 0.3333
Ba3 Ba 0.4812 0.1222 0.8045
Ba4 Ba 0.6410 0.5188 0.1379
Ba5 Ba 0.8117 0.8522 0.6667
Ba6 Ba 0.8778 0.3590 0.4712
Al1 Al 0.1687 0.4790 0.2174
Al2 Al 0.3102 0.8313 0.5508
Al3 Al 0.5210 0.6898 0.8841
Sn1 Sn 0.0722 0.4088 0.7455
Sn2 Sn 0.3311 0.2498 0.5729
Sn3 Sn 0.3366 0.9278 0.0788
Sn4 Sn 0.5912 0.6634 0.4122
Sn5 Sn 0.7502 0.0813 0.2396
Sn6 Sn 0.9187 0.6689 0.9062
F1 F 0.0107 0.8531 0.0683
F2 F 0.0322 0.1942 0.5669
F3 F 0.0429 0.3979 0.3204
F4 F 0.0700 0.2036 0.2005
F5 F 0.1130 0.6016 0.5940
F6 F 0.1336 0.9300 0.5338
F7 F 0.1469 0.1576 0.7349
F8 F 0.1620 0.9678 0.9002
F9 F 0.2380 0.7335 0.2323
F10 F 0.2393 0.7288 0.4424
F11 F 0.2665 0.5045 0.8989
F12 F 0.2712 0.5105 0.1090
F13 F 0.3339 0.2903 0.4345
F14 F 0.3550 0.9571 0.6537
F15 F 0.3984 0.5114 0.2607
F16 F 0.4103 0.2160 0.0270
F17 F 0.4197 0.1305 0.1972
F18 F 0.4895 0.7607 0.7757
F19 F 0.4886 0.8870 0.9274
F20 F 0.4955 0.7620 0.5656
F21 F 0.4986 0.0736 0.5020
F22 F 0.5749 0.5014 0.8354
F23 F 0.6021 0.6450 0.9871
F24 F 0.7097 0.0436 0.1011
F25 F 0.7108 0.5803 0.5306
F26 F 0.7840 0.1944 0.6937
F27 F 0.7964 0.8664 0.8671
F28 F 0.8056 0.5897 0.3603
F29 F 0.8058 0.8380 0.2335
F30 F 0.8424 0.9893 0.4016
F31 F 0.8695 0.2892 0.8639
F32 F 0.9264 0.4251 0.1687
F33 F 0.9564 0.6661 0.7678
```

Peak list (6 most intense, 10° ≤ 2θ ≤ 80°, sorted by position)
d = 4.109 Å, I 57; d = 3.795 Å, I 95; d = 3.494 Å, I 57; d = 3.364 Å, I 100; d = 3.311 Å, I 54; d = 2.432 Å, I 45


# 7
This entry pairs a crystal structure of BaAl9Fe2 with its computed powder XRD pattern. Radiation: Cu Kα (weighted mean of Kα1 and Kα2). Structure: the GGA-PBE geometry in the Materials Project.
Neutral-atom scattering factors, no anomalous dispersion.

Structural model:
```
data_BaAl9Fe2
_chemical_formula_sum 'Ba1 Al9 Fe2'
_cell_length_a 8.0069
_cell_length_b 8.0069
_cell_length_c 3.9498
_cell_angle_alpha 90.00
_cell_angle_beta 90.00
_cell_angle_gamma 120.00
_space_group_name_H-M_alt 'P 1'
_space_group_IT_number 1
loop_
_space_group_symop_operation_xyz
'x,y,z'
loop_
_atom_site_label
_atom_site_type_symbol
_atom_site_fract_x
_atom_site_fract_y
_atom_site_fract_z
Ba1 Ba 0.0000 0.0000 0.0000
Al1 Al 0.0000 0.5000 0.0000
Al2 Al 0.2168 0.4335 0.5000
Al3 Al 0.2168 0.7832 0.5000
Al4 Al 0.4335 0.2168 0.5000
Al5 Al 0.5000 0.0000 0.0000
Al6 Al 0.5000 0.5000 0.0000
Al7 Al 0.5665 0.7832 0.5000
Al8 Al 0.7832 0.2168 0.5000
Al9 Al 0.7832 0.5665 0.5000
Fe1 Fe 0.3333 0.6667 0.0000
Fe2 Fe 0.6667 0.3333 0.0000
```

Peak list (6 most intense, 10° ≤ 2θ ≤ 80°, sorted by position)
d = 4.003 Å, I 100; d = 2.812 Å, I 95; d = 2.606 Å, I 66; d = 2.002 Å, I 39; d = 1.995 Å, I 58; d = 1.786 Å, I 43


# 8
This entry pairs a crystal structure of Ba3Al3Ga2 with its computed powder XRD pattern. Radiation: Cu Kα (weighted mean of Kα1 and Kα2). Structure: the GGA-PBE geometry in the Materials Project.
Neutral-atom scattering factors, no anomalous dispersion.

Structural model:
```
data_Ba3Al3Ga2
_chemical_formula_sum 'Ba6 Al6 Ga4'
_cell_length_a 6.0032
_cell_length_b 6.0032
_cell_length_c 14.7435
_cell_angle_alpha 90.00
_cell_angle_beta 90.00
_cell_angle_gamma 120.00
_space_group_name_H-M_alt 'P 1'
_space_group_IT_number 1
loop_
_space_group_symop_operation_xyz
'x,y,z'
loop_
_atom_site_label
_atom_site_type_symbol
_atom_site_fract_x
_atom_site_fract_y
_atom_site_fract_z
Ba1 Ba 0.0000 0.0000 0.0000
Ba2 Ba 0.0000 0.0000 0.5000
Ba3 Ba 0.3333 0.6667 0.1240
Ba4 Ba 0.3333 0.6667 0.3760
Ba5 Ba 0.6667 0.3333 0.6240
Ba6 Ba 0.6667 0.3333 0.8760
Al1 Al 0.1576 0.3152 0.7500
Al2 Al 0.1576 0.8424 0.7500
Al3 Al 0.3152 0.1576 0.2500
Al4 Al 0.6848 0.8424 0.7500
Al5 Al 0.8424 0.1576 0.2500
Al6 Al 0.8424 0.6848 0.2500
Ga1 Ga 0.3333 0.6667 0.6134
Ga2 Ga 0.3333 0.6667 0.8866
Ga3 Ga 0.6667 0.3333 0.1134
Ga4 Ga 0.6667 0.3333 0.3866
```

Peak list (6 most intense, 10° ≤ 2θ ≤ 80°, sorted by position)
d = 3.004 Å, I 100; d = 2.780 Å, I 11; d = 2.327 Å, I 17; d = 2.124 Å, I 12; d = 1.734 Å, I 17; d = 1.570 Å, I 18


Which formula does entry 4 have?
Ba4TiAl3P4O20F4